CsKCaBr4: simulated powder XRD pattern (λ = 1.5418 Å (Cu Kα)), based on the PBE geometry in Alexandria.
Lines closer than 0.1° are merged.

Most intense lines, 10 to 90 degrees two-theta, in order of falling intensity:
| d/Å | I_rel | index |
| --- | --- | --- |
| 2.973 | 100.0 | 1 1 4 |
| 2.855 | 97.0 | 2 0 0 |
| 3.668 | 81.5 | 1 1 2 |
| 2.044 | 55.2 | 2 0 6 |
| 2.929 | 39.9 | 0 0 6 |
| 4.037 | 37.6 | 1 1 0 |
| 1.670 | 35.0 | 3 1 4 |
| 2.019 | 34.5 | 2 2 0 |
| 8.788 | 34.4 | 0 0 2 |
| 1.662 | 28.2 | 2 2 6 |

Crystal structure
a = 5.709 Å, b = 5.709 Å, c = 17.575 Å
α = 90.00°, β = 90.00°, γ = 90.00°
Space group I4mm (No. 107)
Symmetry-distinct sites (fractional):
Cs  0.000  0.000  0.000 [2 per cell]
K  0.000  0.000  0.717 [2 per cell]
Ca  0.000  0.000  0.359 [2 per cell]
Br  0.000  0.000  0.197 [2 per cell]
Br  0.000  0.000  0.525 [2 per cell]
Br  0.000  0.500  0.354 [4 per cell]